Record 1
This entry pairs a crystal structure of ZrMnFe with its calculated PXRD pattern. Radiation: copper Kα. Structure: DFT lattice parameters and positions (PBE).
Kinematic intensities with the Lorentz-polarization factor, no thermal factor.

Structural model:
a = 8.157 Å, b = 4.935 Å, c = 8.603 Å
α = 90.00°, β = 90.00°, γ = 90.00°
Space group Amm2 (No. 38)
Symmetry-distinct sites (fractional):
Zr (0.186, 0.000, 0.000) (multiplicity 4)
Zr (0.313, 0.000, 0.667) (multiplicity 4)
Mn (0.000, 0.000, 0.500) (multiplicity 2)
Mn (0.500, 0.000, 0.164) (multiplicity 2)
Mn (0.500, 0.245, 0.918) (multiplicity 4)
Fe (0.000, 0.250, 0.250) (multiplicity 4)
Fe (0.254, 0.000, 0.333) (multiplicity 4)

Main lines, by intensity (2θ from 10° to 80°):
| 2θ/deg | I/Imax | h k l |
| --- | --- | --- |
| 39.2 | 1000 | 3 0 2 |
| 42.7 | 775 | 2 1 3 |
| 43.7 | 531 | 1 2 2 |
| 42.8 | 393 | 2 2 0 |
| 36.2 | 372 | 0 1 3 |
| 43.5 | 266 | 1 0 4 |
| 72.9 | 220 | 5 2 2 |
| 36.4 | 178 | 0 2 0 |

=====

Record 2
This entry pairs a crystal structure of Pr3ZnSn with its calculated PXRD pattern. Radiation: copper Kα. Structure: DFT lattice parameters and positions (PBE).
Kinematic intensities with the Lorentz-polarization factor, no thermal factor.

Structural model:
a = 14.932 Å, b = 4.522 Å, c = 9.049 Å
α = 90.00°, β = 91.19°, γ = 90.00°
Space group C2/m (No. 12)
Symmetry-distinct sites (fractional):
Pr (0.050, 0.000, 0.296) (multiplicity 4)
Pr (0.097, 0.500, 0.920) (multiplicity 4)
Pr (0.238, 0.000, 0.689) (multiplicity 4)
Zn (0.208, 0.000, 0.060) (multiplicity 4)
Sn (0.098, 0.500, 0.556) (multiplicity 4)

Main lines, by intensity (2θ from 10° to 80°):
| 2θ/deg | I/Imax | h k l |
| --- | --- | --- |
| 28.6 | 1000 | 1 1 2 |
| 36.1 | 411 | 6 0 0 |
| 36.2 | 281 | 1 1 -3 |
| 39.9 | 263 | 0 2 0 |
| 28.3 | 244 | 3 1 -1 |
| 30.7 | 235 | 4 0 -2 |
| 38.8 | 209 | 4 0 3 |
| 56.1 | 160 | 7 1 -3 |

=====

Record 3
This entry pairs a crystal structure of MnCrGe3 with its calculated PXRD pattern. Radiation: copper Kα. Structure: DFT lattice parameters and positions (PBE).
Kinematic intensities with the Lorentz-polarization factor, no thermal factor.

Structural model:
a = 13.471 Å, b = 11.826 Å, c = 4.070 Å
α = 90.00°, β = 107.44°, γ = 90.00°
Space group C2/c (No. 15)
Symmetry-distinct sites (fractional):
Mn (0.000, 0.077, 0.250) (multiplicity 4)
Mn (0.000, 0.225, 0.750) (multiplicity 4)
Cr (0.227, 0.440, 0.476) (multiplicity 8)
Ge (0.102, 0.404, 0.852) (multiplicity 8)
Ge (0.139, 0.246, 0.389) (multiplicity 8)
Ge (0.140, 0.086, 0.890) (multiplicity 8)

Main lines, by intensity (2θ from 10° to 80°):
| 2θ/deg | I/Imax | h k l |
| --- | --- | --- |
| 42.6 | 1000 | 3 3 1 |
| 44.5 | 301 | 2 0 -2 |
| 31.6 | 212 | 1 3 -1 |
| 46.0 | 198 | 0 6 0 |
| 66.0 | 137 | 2 6 -2 |
| 43.3 | 127 | 4 4 -1 |
| 27.0 | 111 | 3 1 -1 |
| 27.8 | 95 | 4 0 0 |

=====

Record 4
This entry pairs a crystal structure of PmNd2F11 with its calculated PXRD pattern. Radiation: copper Kα. Structure: DFT lattice parameters and positions (PBE).
Kinematic intensities with the Lorentz-polarization factor, no thermal factor.

Structural model:
a = 8.734 Å, b = 10.537 Å, c = 11.634 Å
α = 90.00°, β = 90.00°, γ = 90.00°
Space group Ibam (No. 72)
Symmetry-distinct sites (fractional):
Pm (0.000, 0.000, 0.250) (multiplicity 4)
Nd (0.162, 0.310, 0.000) (multiplicity 8)
F (0.000, 0.500, 0.000) (multiplicity 4)
F (0.102, 0.171, 0.145) (multiplicity 16)
F (0.107, 0.311, 0.500) (multiplicity 8)
F (0.200, 0.075, 0.368) (multiplicity 16)

Main lines, by intensity (2θ from 10° to 80°):
| 2θ/deg | I/Imax | h k l |
| --- | --- | --- |
| 20.2 | 1000 | 1 1 2 |
| 22.8 | 802 | 0 2 2 |
| 23.3 | 617 | 2 1 1 |
| 43.3 | 452 | 3 3 2 |
| 21.1 | 413 | 1 2 1 |
| 44.9 | 409 | 4 2 0 |
| 41.6 | 295 | 1 3 4 |
| 25.5 | 284 | 2 0 2 |

=====

Record 5
This entry pairs a crystal structure of Ba3SeN with its calculated PXRD pattern. Radiation: copper Kα. Structure: DFT lattice parameters and positions (PBE).
Kinematic intensities with the Lorentz-polarization factor, no thermal factor.

Structural model:
a = 15.537 Å, b = 12.613 Å, c = 7.789 Å
α = 90.00°, β = 97.89°, γ = 90.00°
Space group C2/c (No. 15)
Symmetry-distinct sites (fractional):
Ba (0.131, 0.082, 0.117) (multiplicity 8)
Ba (0.143, 0.240, 0.588) (multiplicity 8)
Ba (0.164, 0.443, 0.164) (multiplicity 8)
Se (0.000, 0.092, 0.750) (multiplicity 4)
Se (0.000, 0.290, 0.250) (multiplicity 4)
N (0.239, 0.077, 0.530) (multiplicity 8)

Main lines, by intensity (2θ from 10° to 80°):
| 2θ/deg | I/Imax | h k l |
| --- | --- | --- |
| 28.9 | 1000 | 3 3 -1 |
| 25.2 | 613 | 1 3 1 |
| 27.2 | 592 | 2 0 2 |
| 24.4 | 415 | 2 0 -2 |
| 40.9 | 360 | 1 3 -3 |
| 39.3 | 287 | 5 3 1 |
| 23.1 | 265 | 4 0 0 |
| 51.7 | 179 | 2 6 2 |

=====

Record 6
This entry pairs a crystal structure of Tb2ErRh with its calculated PXRD pattern. Radiation: copper Kα. Structure: DFT lattice parameters and positions (PBE).
Kinematic intensities with the Lorentz-polarization factor, no thermal factor.

Structural model:
a = 7.158 Å, b = 9.544 Å, c = 6.262 Å
α = 90.00°, β = 90.00°, γ = 90.00°
Space group Pnma (No. 62)
Symmetry-distinct sites (fractional):
Tb (0.179, 0.064, 0.172) (multiplicity 8)
Er (0.036, 0.250, 0.640) (multiplicity 4)
Rh (0.118, 0.750, 0.946) (multiplicity 4)

Main lines, by intensity (2θ from 10° to 80°):
| 2θ/deg | I/Imax | h k l |
| --- | --- | --- |
| 31.2 | 1000 | 2 2 0 |
| 31.5 | 860 | 0 3 1 |
| 32.6 | 814 | 1 1 2 |
| 34.4 | 650 | 2 2 1 |
| 34.0 | 537 | 1 3 1 |
| 30.2 | 500 | 2 1 1 |
| 58.0 | 397 | 0 6 0 |
| 56.5 | 338 | 3 3 2 |

=====

Record 7
This entry pairs a crystal structure of K2Zn6O7 with its calculated PXRD pattern. Radiation: copper Kα. Structure: DFT lattice parameters and positions (PBE).
Kinematic intensities with the Lorentz-polarization factor, no thermal factor.

Structural model:
a = 11.042 Å, b = 11.042 Å, c = 3.369 Å
α = 90.00°, β = 90.00°, γ = 90.00°
Space group P4_2/mnm (No. 136)
Symmetry-distinct sites (fractional):
K (0.141, 0.141, 0.000) (multiplicity 4)
Zn (0.086, 0.652, 0.000) (multiplicity 8)
Zn (0.121, 0.879, 0.500) (multiplicity 4)
O (0.000, 0.000, 0.500) (multiplicity 2)
O (0.005, 0.313, 0.500) (multiplicity 8)
O (0.191, 0.809, 0.000) (multiplicity 4)

Main lines, by intensity (2θ from 10° to 80°):
| 2θ/deg | I/Imax | h k l |
| --- | --- | --- |
| 35.2 | 1000 | 2 2 1 |
| 32.4 | 394 | 4 0 0 |
| 18.0 | 214 | 2 1 0 |
| 59.6 | 173 | 6 2 1 |
| 46.5 | 134 | 4 4 0 |
| 54.5 | 125 | 0 0 2 |
| 34.5 | 122 | 3 3 0 |
| 62.8 | 122 | 6 3 1 |

=====

Record 8
This entry pairs a crystal structure of YTmTh3 with its calculated PXRD pattern. Radiation: copper Kα. Structure: DFT lattice parameters and positions (PBE).
Kinematic intensities with the Lorentz-polarization factor, no thermal factor.

Structural model:
a = 6.910 Å, b = 16.615 Å, c = 3.522 Å
α = 90.00°, β = 119.94°, γ = 90.00°
Space group C2 (No. 5)
Symmetry-distinct sites (fractional):
Y (0.000, 0.000, 0.000) (multiplicity 2)
Tm (0.000, 0.621, 0.500) (multiplicity 2)
Th (0.000, 0.172, 0.500) (multiplicity 2)
Th (0.243, 0.829, 0.945) (multiplicity 4)

Main lines, by intensity (2θ from 10° to 80°):
| 2θ/deg | I/Imax | h k l |
| --- | --- | --- |
| 31.8 | 1000 | 2 2 0 |
| 31.2 | 907 | 0 2 1 |
| 10.6 | 757 | 0 2 0 |
| 29.6 | 560 | 2 0 -1 |
| 32.3 | 470 | 0 6 0 |
| 36.5 | 435 | 0 4 1 |
| 37.0 | 418 | 2 4 0 |
| 21.4 | 372 | 0 4 0 |

=====

Record 9
This entry pairs a crystal structure of K2PuAgO4 with its calculated PXRD pattern. Radiation: copper Kα. Structure: DFT lattice parameters and positions (PBE).
Kinematic intensities with the Lorentz-polarization factor, no thermal factor.

Structural model:
a = 6.045 Å, b = 3.693 Å, c = 6.377 Å
α = 90.00°, β = 96.38°, γ = 90.00°
Space group P2/m (No. 10)
Symmetry-distinct sites (fractional):
K (0.000, 0.000, 0.000) (multiplicity 1)
K (0.500, 0.500, 0.000) (multiplicity 1)
Pu (0.000, 0.500, 0.500) (multiplicity 1)
Ag (0.500, 0.000, 0.500) (multiplicity 1)
O (0.166, 0.500, 0.258) (multiplicity 2)
O (0.205, 0.000, 0.656) (multiplicity 2)

Main lines, by intensity (2θ from 10° to 80°):
| 2θ/deg | I/Imax | h k l |
| --- | --- | --- |
| 14.0 | 1000 | 0 0 1 |
| 32.5 | 793 | 1 1 1 |
| 31.0 | 523 | 1 1 -1 |
| 28.2 | 361 | 0 0 2 |
| 28.4 | 356 | 1 1 0 |
| 29.7 | 316 | 2 0 0 |
| 14.7 | 241 | 1 0 0 |
| 39.0 | 228 | 2 0 -2 |